# RbW3Cl9
Computed powder XRD pattern, a wavelength of 1.5418 Å. Input: the PBE geometry in the Materials Project.
Kinematic intensities with the Lorentz-polarization factor, no thermal factor.

The 10 most intense peaks (10 to 80 degrees two-theta), in order of falling intensity:
| 2θ/deg | I_rel | (hkl) |
| --- | --- | --- |
| 10.62 | 1000 | 1 0 0 |
| 14.78 | 568 | 1 0 1 |
| 35.29 | 431 | 1 2 2 |
| 10.25 | 381 | 0 0 1 |
| 43.06 | 190 | 2 2 2 |
| 42.56 | 154 | 1 2 3 |
| 21.15 | 121 | 2 -1 1 |
| 28.35 | 116 | 1 2 0 |
| 44.48 | 106 | 1 3 2 |
| 33.92 | 90 | 3 0 1 |

Cell and atoms:
```
data_RbW3Cl9
_cell_length_a 9.6172
_cell_length_b 9.6172
_cell_length_c 8.6329
_cell_angle_alpha 90.00
_cell_angle_beta 90.00
_cell_angle_gamma 120.00
_symmetry_space_group_name_H-M 'P -3'
_symmetry_Int_Tables_number 147
_symmetry_space_group_name_Hall '-P 3'
loop_
_atom_site_label
_atom_site_type_symbol
_atom_site_fract_x
_atom_site_fract_y
_atom_site_fract_z
Rb1 Rb 0.3333 0.6667 0.0571
W1 W 0.0184 0.8315 0.6267
Cl1 Cl 0.0207 0.8107 0.1893
Cl2 Cl 0.0369 0.6333 0.8006
Cl3 Cl 0.1719 0.4130 0.5021
```

# Rb2ZnCl4
Computed powder XRD pattern, a wavelength of 1.5418 Å. Input: the PBE geometry in the Materials Project.
Kinematic intensities with the Lorentz-polarization factor, no thermal factor.

The 10 most intense peaks (10 to 80 degrees two-theta), in order of falling intensity:
| 2θ/deg | I_rel | (hkl) |
| --- | --- | --- |
| 23.82 | 1000 | 0 1 3 |
| 24.05 | 930 | 0 2 0 |
| 29.31 | 780 | 3 0 1 |
| 31.53 | 779 | 2 2 1 |
| 31.72 | 685 | 3 1 1 |
| 23.40 | 586 | 2 1 1 |
| 27.48 | 405 | 0 0 4 |
| 20.50 | 376 | 1 1 2 |
| 37.24 | 340 | 2 2 3 |
| 49.25 | 307 | 0 4 0 |

Cell and atoms:
```
data_Rb2ZnCl4
_cell_length_a 9.4137
_cell_length_b 7.4010
_cell_length_c 12.9819
_cell_angle_alpha 90.00
_cell_angle_beta 90.00
_cell_angle_gamma 90.00
_symmetry_space_group_name_H-M 'P n m a'
_symmetry_Int_Tables_number 62
_symmetry_space_group_name_Hall '-P 2ac 2n'
loop_
_atom_site_label
_atom_site_type_symbol
_atom_site_fract_x
_atom_site_fract_y
_atom_site_fract_z
Rb1 Rb 0.0150 0.2500 0.1795
Rb2 Rb 0.1308 0.7500 0.4085
Zn1 Zn 0.2248 0.7500 0.0776
Cl1 Cl 0.0168 0.2500 0.9173
Cl2 Cl 0.1812 0.2500 0.4139
Cl3 Cl 0.1838 0.9999 0.6574
```

# Rb2ZnCl4
Computed powder XRD pattern, a wavelength of 1.5418 Å. Input: the PBE geometry in the Materials Project.
Kinematic intensities with the Lorentz-polarization factor, no thermal factor.

The 10 most intense peaks (10 to 80 degrees two-theta), in order of falling intensity:
| 2θ/deg | I_rel | (hkl) |
| --- | --- | --- |
| 23.85 | 1000 | 0 3 1 |
| 24.04 | 935 | 0 0 2 |
| 31.58 | 782 | 2 1 2 |
| 29.38 | 746 | 3 1 0 |
| 31.81 | 712 | 3 1 1 |
| 23.47 | 577 | 2 1 1 |
| 20.53 | 390 | 1 2 1 |
| 27.53 | 384 | 0 4 0 |
| 37.30 | 337 | 2 3 2 |
| 49.23 | 308 | 0 0 4 |

Cell and atoms:
```
data_Rb2ZnCl4
_cell_length_a 9.3803
_cell_length_b 12.9577
_cell_length_c 7.4029
_cell_angle_alpha 90.00
_cell_angle_beta 90.00
_cell_angle_gamma 90.00
_symmetry_space_group_name_H-M 'P n a 21'
_symmetry_Int_Tables_number 33
_symmetry_space_group_name_Hall 'P 2c -2n'
loop_
_atom_site_label
_atom_site_type_symbol
_atom_site_fract_x
_atom_site_fract_y
_atom_site_fract_z
Rb1 Rb 0.0128 0.1794 0.0000
Rb2 Rb 0.1288 0.4073 0.4994
Zn1 Zn 0.2231 0.0784 0.5019
Cl1 Cl 0.0182 0.9198 0.0041
Cl2 Cl 0.1779 0.4164 0.9950
Cl3 Cl 0.1849 0.6566 0.2521
Cl4 Cl 0.1910 0.6639 0.7552
```

# Rb2ZnCl3
Computed powder XRD pattern, a wavelength of 1.5418 Å. Input: the PBE geometry in the Materials Project.
Kinematic intensities with the Lorentz-polarization factor, no thermal factor.

The 10 most intense peaks (10 to 80 degrees two-theta), in order of falling intensity:
| 2θ/deg | I_rel | (hkl) |
| --- | --- | --- |
| 21.34 | 1000 | 1 1 2 |
| 31.15 | 978 | 1 3 1 |
| 32.98 | 850 | 3 1 -2 |
| 36.56 | 737 | 0 3 3 |
| 19.63 | 568 | 2 0 0 |
| 23.25 | 553 | 2 0 -2 |
| 12.00 | 549 | 0 1 1 |
| 18.64 | 487 | 0 2 0 |
| 30.97 | 486 | 1 0 -4 |
| 29.67 | 467 | 0 2 3 |

Cell and atoms:
```
data_Rb2ZnCl3
_cell_length_a 9.1265
_cell_length_b 9.5181
_cell_length_c 11.7602
_cell_angle_alpha 90.00
_cell_angle_beta 97.58
_cell_angle_gamma 90.00
_symmetry_space_group_name_H-M 'P 1 c 1'
_symmetry_Int_Tables_number 7
_symmetry_space_group_name_Hall 'P -2yc'
loop_
_atom_site_label
_atom_site_type_symbol
_atom_site_fract_x
_atom_site_fract_y
_atom_site_fract_z
Rb1 Rb 0.0000 0.0290 0.0000
Rb2 Rb 0.4182 0.3683 0.9198
Rb3 Rb 0.4556 0.0293 0.6866
Rb4 Rb 0.9069 0.4044 0.2764
Zn1 Zn 0.2116 0.4705 0.6357
Zn2 Zn 0.7889 0.2310 0.7684
Cl1 Cl 0.0676 0.3970 0.9990
Cl2 Cl 0.0728 0.2740 0.6566
Cl3 Cl 0.2526 0.3723 0.2859
Cl4 Cl 0.3315 0.0527 0.9323
Cl5 Cl 0.4497 0.3953 0.6234
Cl6 Cl 0.8027 0.0877 0.2270
```

# ReCl6
Computed powder XRD pattern, a wavelength of 1.5418 Å. Input: the PBE geometry in the Materials Project.
Kinematic intensities with the Lorentz-polarization factor, no thermal factor.

The 10 most intense peaks (10 to 80 degrees two-theta), in order of falling intensity:
| 2θ/deg | I_rel | (hkl) |
| --- | --- | --- |
| 17.19 | 1000 | 1 0 1 |
| 19.42 | 717 | 0 1 2 |
| 32.70 | 602 | 1 1 3 |
| 15.58 | 420 | 0 0 3 |
| 43.00 | 363 | 1 1 6 |
| 26.61 | 239 | 1 0 4 |
| 50.60 | 183 | 3 0 0 |
| 30.98 | 152 | 0 1 5 |
| 56.79 | 139 | 2 -1 9 |
| 62.91 | 132 | 4 -1 2 |

Cell and atoms:
```
data_ReCl6
_cell_length_a 6.2490
_cell_length_b 6.2490
_cell_length_c 17.0658
_cell_angle_alpha 90.00
_cell_angle_beta 90.00
_cell_angle_gamma 120.00
_symmetry_space_group_name_H-M 'R -3'
_symmetry_Int_Tables_number 148
_symmetry_space_group_name_Hall '-R 3'
loop_
_atom_site_label
_atom_site_type_symbol
_atom_site_fract_x
_atom_site_fract_y
_atom_site_fract_z
Re1 Re 0.0000 0.0000 0.0000
Cl1 Cl 0.0050 0.7014 0.0777
```

# ReCl5
Computed powder XRD pattern, a wavelength of 1.5418 Å. Input: the PBE geometry in the Materials Project.
Kinematic intensities with the Lorentz-polarization factor, no thermal factor.

The 10 most intense peaks (10 to 80 degrees two-theta), in order of falling intensity:
| 2θ/deg | I_rel | (hkl) |
| --- | --- | --- |
| 16.10 | 1000 | 0 2 1 |
| 14.62 | 689 | 0 0 2 |
| 31.97 | 227 | 3 2 -2 |
| 35.96 | 220 | 2 3 2 |
| 21.03 | 174 | 2 1 0 |
| 17.55 | 167 | 1 2 -1 |
| 16.28 | 164 | 1 1 -2 |
| 24.42 | 130 | 2 1 1 |
| 19.93 | 127 | 2 1 -1 |
| 12.36 | 124 | 1 1 -1 |

Cell and atoms:
```
data_ReCl5
_cell_length_a 9.5578
_cell_length_b 12.3582
_cell_length_c 12.8767
_cell_angle_alpha 90.00
_cell_angle_beta 109.81
_cell_angle_gamma 90.00
_symmetry_space_group_name_H-M 'P 1 21/c 1'
_symmetry_Int_Tables_number 14
_symmetry_space_group_name_Hall '-P 2ybc'
loop_
_atom_site_label
_atom_site_type_symbol
_atom_site_fract_x
_atom_site_fract_y
_atom_site_fract_z
Re1 Re 0.1156 0.1276 0.3138
Re2 Re 0.3040 0.6240 0.2921
Cl1 Cl 0.0927 0.5185 0.1649
Cl2 Cl 0.0939 0.2332 0.4529
Cl3 Cl 0.0954 0.0214 0.1644
Cl4 Cl 0.0960 0.7341 0.3122
Cl5 Cl 0.2821 0.2396 0.2805
Cl6 Cl 0.2821 0.5188 0.4313
Cl7 Cl 0.2851 0.0165 0.4307
Cl8 Cl 0.2870 0.7316 0.1441
Cl9 Cl 0.4687 0.5104 0.2585
Cl10 Cl 0.4740 0.7335 0.4102
```

# ReCl4
Computed powder XRD pattern, a wavelength of 1.5418 Å. Input: the PBE geometry in the Materials Project.
Kinematic intensities with the Lorentz-polarization factor, no thermal factor.

The 10 most intense peaks (10 to 80 degrees two-theta), in order of falling intensity:
| 2θ/deg | I_rel | (hkl) |
| --- | --- | --- |
| 14.25 | 1000 | 0 1 1 |
| 13.56 | 332 | 0 0 2 |
| 19.59 | 247 | 1 1 -1 |
| 18.79 | 234 | 1 0 -2 |
| 40.13 | 107 | 1 1 5 |
| 40.99 | 103 | 2 2 2 |
| 29.90 | 102 | 1 0 -4 |
| 45.62 | 96 | 1 3 -3 |
| 44.37 | 92 | 3 1 -1 |
| 31.74 | 88 | 2 1 1 |

Cell and atoms:
```
data_ReCl4
_cell_length_a 6.4324
_cell_length_b 7.0674
_cell_length_c 13.0842
_cell_angle_alpha 90.00
_cell_angle_beta 93.46
_cell_angle_gamma 90.00
_symmetry_space_group_name_H-M 'P 1 2/c 1'
_symmetry_Int_Tables_number 13
_symmetry_space_group_name_Hall '-P 2yc'
loop_
_atom_site_label
_atom_site_type_symbol
_atom_site_fract_x
_atom_site_fract_y
_atom_site_fract_z
Re1 Re 0.1845 0.2323 0.3087
Cl1 Cl 0.0000 0.4821 0.7500
Cl2 Cl 0.1303 0.1044 0.1358
Cl3 Cl 0.2520 0.3727 0.4641
Cl4 Cl 0.3570 0.0374 0.8588
Cl5 Cl 0.5000 0.3856 0.2500
```

# ReRuCl2
Computed powder XRD pattern, a wavelength of 1.5418 Å. Input: the PBE geometry in the Materials Project.
Kinematic intensities with the Lorentz-polarization factor, no thermal factor.

The 9 most intense peaks (10 to 80 degrees two-theta), in order of falling intensity:
| 2θ/deg | I_rel | (hkl) |
| --- | --- | --- |
| 41.59 | 1000 | 2 2 0 |
| 29.08 | 472 | 2 0 0 |
| 75.88 | 329 | 4 2 2 |
| 68.29 | 183 | 4 2 0 |
| 60.27 | 163 | 4 0 0 |
| 51.54 | 139 | 2 2 2 |
| 25.11 | 123 | 1 1 1 |
| 49.20 | 66 | 3 1 1 |
| 66.33 | 28 | 3 3 1 |

Cell and atoms:
```
data_ReRuCl2
_cell_length_a 6.1424
_cell_length_b 6.1424
_cell_length_c 6.1424
_cell_angle_alpha 90.00
_cell_angle_beta 90.00
_cell_angle_gamma 90.00
_symmetry_space_group_name_H-M 'F m -3 m'
_symmetry_Int_Tables_number 225
_symmetry_space_group_name_Hall '-F 4 2 3'
loop_
_atom_site_label
_atom_site_type_symbol
_atom_site_fract_x
_atom_site_fract_y
_atom_site_fract_z
Re1 Re 0.0000 0.0000 0.0000
Ru1 Ru 0.0000 0.0000 0.5000
Cl1 Cl 0.2500 0.2500 0.2500
```